No. 1
This entry pairs a crystal structure of Sc2S2N with its calculated X-ray powder pattern. Radiation: CuKα. Structure: a DFT-relaxed cell (PBE, Alexandria).

Cell and atoms:
abc: 6.5936 6.5936 3.6331
angles: 90.00 90.00 90.00
Space group P4/mbm (No. 127)
Asymmetric unit:
Sc1 0.1744 0.3256 0.0000 x4
S1 0.1437 0.6437 0.5000 x4
N1 0.0000 0.0000 0.0000 x2

Main lines, low angle first (2θ from 5° to 70°):
(hkl), Position (°2θ), I/Imax
1 1 0, 19.0, 125
0 0 1, 24.5, 47
2 0 0, 27.0, 158
2 2 0, 38.6, 44
2 1 1, 39.4, 1000
3 1 0, 43.4, 226
0 0 2, 50.2, 121
3 3 0, 59.5, 85
4 1 1, 63.6, 156
3 1 2, 68.5, 98

No. 2
This entry pairs a crystal structure of ScSnSN2 with its calculated X-ray powder pattern. Radiation: CuKα. Structure: a DFT-relaxed cell (PBE, Alexandria).

Cell and atoms:
abc: 4.0405 4.0405 5.1375
angles: 90.00 90.00 90.00
Space group P4/mmm (No. 123)
Asymmetric unit:
Sc1 0.0000 0.0000 0.0000 x1
Sn1 0.5000 0.5000 0.5000 x1
S1 0.5000 0.5000 0.0000 x1
N1 0.0000 0.5000 0.5000 x2

Main lines, low angle first (2θ from 5° to 70°):
(hkl), Position (°2θ), I/Imax
0 0 1, 17.3, 214
1 0 0, 22.0, 628
1 0 1, 28.1, 1000
1 1 0, 31.3, 638
0 0 2, 34.9, 414
1 0 2, 41.7, 242
2 0 0, 44.9, 393
1 1 2, 47.6, 405
2 1 1, 53.8, 342
2 0 2, 58.1, 350

No. 3
This entry pairs a crystal structure of Se2S6N with its calculated X-ray powder pattern. Radiation: CuKα. Structure: a DFT-relaxed cell (PBE, Alexandria).

Cell and atoms:
abc: 8.0587 23.5161 6.7245
angles: 90.00 91.80 90.00
Space group C2/c (No. 15)
Asymmetric unit:
Se1 0.1100 0.2398 0.0666 x8
S1 0.0136 0.3287 0.0376 x8
S2 0.1290 0.0442 0.3005 x8
S3 0.2337 0.4528 0.9300 x8
N1 0.0000 0.3591 0.2500 x4

Main lines, low angle first (2θ from 5° to 70°):
(hkl), Position (°2θ), I/Imax
0 2 0, 7.5, 484
0 4 0, 15.1, 528
1 3 0, 15.8, 274
1 1 1, 17.9, 1000
0 4 1, 20.1, 164
2 2 0, 23.3, 220
1 5 1, 25.8, 372
0 2 2, 27.6, 183
2 2 -2, 35.1, 270
0 10 0, 38.3, 239

No. 4
This entry pairs a crystal structure of Sm4SeS2N with its calculated X-ray powder pattern. Radiation: CuKα. Structure: a DFT-relaxed cell (PBE, Alexandria).

Cell and atoms:
abc: 7.2480 7.2480 7.6734
angles: 90.00 90.00 90.00
Space group I-42m (No. 121)
Asymmetric unit:
Sm1 0.1845 0.1845 0.3315 x8
Se1 0.0000 0.0000 0.0000 x2
S1 0.0000 0.5000 0.2500 x4
N1 0.0000 0.0000 0.5000 x2

Main lines, low angle first (2θ from 5° to 70°):
(hkl), Position (°2θ), I/Imax
2 0 0, 24.6, 166
1 1 2, 29.1, 737
2 1 1, 29.9, 1000
2 2 0, 35.0, 217
1 0 3, 37.3, 180
3 0 1, 39.1, 200
3 1 2, 46.1, 205
3 0 3, 52.1, 183
4 1 1, 53.5, 319
3 2 3, 58.4, 214

No. 5
This entry pairs a crystal structure of Sm4Se2SN2 with its calculated X-ray powder pattern. Radiation: CuKα. Structure: a DFT-relaxed cell (PBE, Alexandria).

Cell and atoms:
abc: 15.2802 3.9766 7.0990
angles: 90.00 106.53 90.00
Space group C2/m (No. 12)
Asymmetric unit:
Sm1 0.0451 0.0000 0.2627 x4
Sm2 0.2101 0.5000 0.6674 x4
Se1 0.1284 0.5000 0.0376 x4
S1 0.0000 0.5000 0.5000 x2
N1 0.1744 0.0000 0.4894 x4

Main lines, low angle first (2θ from 5° to 70°):
(hkl), Position (°2θ), I/Imax
1 1 -1, 25.8, 242
1 1 1, 27.5, 539
3 1 0, 29.0, 682
4 0 -2, 30.3, 494
4 0 1, 30.8, 779
1 1 -2, 33.9, 1000
5 1 -1, 37.4, 697
0 2 0, 45.6, 308
3 1 3, 54.3, 255
4 2 1, 56.1, 285

No. 6
This entry pairs a crystal structure of TlSiS2N with its calculated X-ray powder pattern. Radiation: CuKα. Structure: a DFT-relaxed cell (PBE, Alexandria).

Cell and atoms:
abc: 4.9291 4.9291 3.4083
angles: 90.00 90.00 90.00
Space group P4/mmm (No. 123)
Asymmetric unit:
Tl1 0.0000 0.0000 0.0000 x1
Si1 0.5000 0.5000 0.5000 x1
S1 0.0000 0.5000 0.5000 x2
N1 0.5000 0.5000 0.0000 x1

Main lines, low angle first (2θ from 5° to 70°):
(hkl), Position (°2θ), I/Imax
1 0 0, 18.0, 1000
1 1 0, 25.6, 577
1 0 1, 31.9, 997
2 0 0, 36.5, 719
1 1 1, 36.9, 922
2 1 0, 40.9, 280
2 1 1, 49.2, 614
2 2 0, 52.5, 244
3 1 1, 65.9, 325
2 0 2, 66.7, 236

No. 7
This entry pairs a crystal structure of SnWS2N with its calculated X-ray powder pattern. Radiation: CuKα. Structure: a DFT-relaxed cell (PBE, Alexandria).

Cell and atoms:
abc: 4.8897 4.8897 3.8551
angles: 90.00 90.00 90.00
Space group P4/mmm (No. 123)
Asymmetric unit:
Sn1 0.0000 0.0000 0.0000 x1
W1 0.5000 0.5000 0.5000 x1
S1 0.0000 0.5000 0.5000 x2
N1 0.5000 0.5000 0.0000 x1

Main lines, low angle first (2θ from 5° to 70°):
(hkl), Position (°2θ), I/Imax
1 0 0, 18.1, 111
1 1 0, 25.8, 518
1 0 1, 29.5, 1000
2 0 0, 36.8, 492
0 0 2, 47.1, 120
2 1 1, 47.8, 551
2 2 0, 53.0, 169
1 1 2, 54.5, 142
2 0 2, 61.2, 218
3 0 1, 61.8, 131

No. 8
This entry pairs a crystal structure of Sr4S2N with its calculated X-ray powder pattern. Radiation: CuKα. Structure: a DFT-relaxed cell (PBE, Alexandria).

Cell and atoms:
abc: 5.0696 5.0696 15.0626
angles: 90.00 90.00 90.00
Space group I4/mmm (No. 139)
Asymmetric unit:
Sr1 0.0000 0.0000 0.1743 x4
Sr2 0.0000 0.5000 0.0000 x4
S1 0.0000 0.0000 0.3682 x4
N1 0.0000 0.0000 0.0000 x2

Main lines, low angle first (2θ from 5° to 70°):
(hkl), Position (°2θ), I/Imax
0 0 2, 11.8, 177
1 0 3, 25.0, 192
1 1 2, 27.6, 1000
1 1 4, 34.6, 834
2 0 0, 35.4, 658
0 0 6, 35.8, 242
2 2 0, 50.9, 223
2 0 6, 51.2, 335
3 1 2, 58.9, 237
3 1 4, 63.0, 243

No. 9
This entry pairs a crystal structure of TaSN with its calculated X-ray powder pattern. Radiation: CuKα. Structure: a DFT-relaxed cell (PBE, Alexandria).

Cell and atoms:
abc: 3.2727 3.2729 12.4380
angles: 97.45 90.03 120.00
Space group P-1 (No. 2)
Asymmetric unit:
Ta1 0.2346 0.4650 0.2020 x2
S1 0.3867 0.7785 0.6619 x2
N1 0.1197 0.2434 0.8615 x2

Main lines, low angle first (2θ from 5° to 70°):
(hkl), Position (°2θ), I/Imax
0 0 1, 7.2, 297
0 0 2, 14.4, 1000
0 0 3, 21.7, 198
1 -1 1, 31.9, 463
0 1 -2, 33.1, 208
-1 1 2, 36.0, 159
1 -1 3, 37.2, 288
0 1 3, 41.7, 221
-1 1 4, 45.2, 231
2 -1 0, 56.2, 160

No. 10
This entry pairs a crystal structure of Tb5S4N with its calculated X-ray powder pattern. Radiation: CuKα. Structure: a DFT-relaxed cell (PBE, Alexandria).

Cell and atoms:
abc: 3.8507 3.8507 27.4222
angles: 90.00 90.00 90.00
Space group I4/mmm (No. 139)
Asymmetric unit:
Tb1 0.0000 0.0000 0.0000 x2
Tb2 0.0000 0.0000 0.2027 x4
Tb3 0.0000 0.0000 0.4148 x4
S1 0.0000 0.0000 0.0996 x4
S2 0.0000 0.0000 0.3050 x4
N1 0.0000 0.0000 0.5000 x2

Main lines, low angle first (2θ from 5° to 70°):
(hkl), Position (°2θ), I/Imax
1 0 5, 28.3, 1000
0 0 10, 32.6, 349
1 1 0, 32.9, 818
1 0 9, 37.6, 119
1 1 10, 47.0, 433
2 0 0, 47.2, 293
2 1 5, 56.0, 320
2 0 10, 58.6, 239
2 2 0, 69.0, 93
1 0 19, 69.6, 85

No. 11
This entry pairs a crystal structure of Te2SN with its calculated X-ray powder pattern. Radiation: CuKα. Structure: a DFT-relaxed cell (PBE, Alexandria).

Cell and atoms:
abc: 3.7289 3.7289 23.9776
angles: 90.00 90.00 120.00
Space group R-3m (No. 166, hexagonal axes)
Asymmetric unit:
Te1 0.0000 0.0000 0.0811 x6
S1 0.0000 0.0000 0.5000 x3
N1 0.0000 0.0000 0.0000 x3

Main lines, low angle first (2θ from 5° to 70°):
(hkl), Position (°2θ), I/Imax
0 0 6, 22.2, 584
1 0 1, 27.9, 1000
0 1 2, 28.6, 770
0 1 5, 33.5, 808
1 0 7, 38.3, 661
0 0 12, 45.4, 187
1 1 0, 48.8, 461
1 1 6, 54.3, 334
1 0 13, 57.6, 249
1 1 12, 68.9, 312

No. 12
This entry pairs a crystal structure of ThSN with its calculated X-ray powder pattern. Radiation: CuKα. Structure: a DFT-relaxed cell (PBE, Alexandria).

Cell and atoms:
abc: 4.1121 4.1121 25.2398
angles: 90.00 90.00 120.00
Space group R-3m (No. 166, hexagonal axes)
Asymmetric unit:
Th1 0.0000 0.0000 0.2256 x6
S1 0.0000 0.0000 0.3760 x6
N1 0.0000 0.0000 0.1332 x6

Main lines, low angle first (2θ from 5° to 70°):
(hkl), Position (°2θ), I/Imax
0 0 3, 10.5, 413
0 0 6, 21.1, 207
0 1 2, 26.0, 1000
1 0 4, 28.8, 303
0 1 5, 30.7, 429
0 0 9, 31.9, 172
1 0 7, 35.4, 423
1 1 0, 44.0, 392
0 1 11, 47.1, 206
1 1 9, 55.4, 228